Theoretical powder XRD pattern of Ca2Al7Pd for Cu Kα X-rays, from DFT lattice parameters and positions (PBE).

Most intense lines, 2θ = 15–90°, low angle first:
two_theta	I/Imax	hkl
15.43	16	0 0 2
22.50	22	1 0 1
26.25	15	1 0 2
31.59	38	1 0 3
33.92	100	1 1 2
42.97	44	2 0 0
43.79	29	1 1 4
44.95	20	1 0 5
54.30	15	2 1 3
62.40	14	2 2 0
63.94	14	2 1 5
72.95	20	3 1 2

```
Ca2Al7Pd
1.0
4.2094 0.0000 0.0000
0.0000 4.2094 0.0000
0.0000 0.0000 11.4861
Ca Al Pd
2 7 1
direct
0.0000 0.5000 0.2437
0.5000 0.0000 0.7563
0.0000 0.0000 0.0000
0.0000 0.0000 0.5000
0.0000 0.5000 0.6426
0.0000 0.5000 0.8682
0.5000 0.0000 0.1318
0.5000 0.0000 0.3574
0.5000 0.5000 0.5000
0.5000 0.5000 0.0000
```